Entry 1:
Theoretical powder XRD pattern of In3TeI7 for a wavelength of 1.5418 Å, from a PBE-relaxed structure.
Lines closer than 0.1° are merged.

Main lines, in order of rising 2θ (10° ≤ 2θ ≤ 90°):
| 2θ (°) | intensity |
| --- | --- |
| 11.99 | 31 |
| 24.11 | 13 |
| 27.01 | 100 |
| 34.36 | 47 |
| 42.42 | 31 |
| 44.23 | 35 |
| 49.38 | 16 |
| 51.01 | 17 |
| 55.66 | 11 |
| 62.95 | 11 |
| 68.43 | 13 |
| 78.82 | 10 |

Structure:
```
data_In3TeI7
_chemical_formula_sum 'In6 Te2 I14'
_symmetry_space_group_name_H-M 'C 1 m 1'
_symmetry_Int_Tables_number 8
_symmetry_space_group_name_Hall 'C -2y'
_cell_length_a 14.757
_cell_length_b 8.527
_cell_length_c 10.427
_cell_angle_alpha 90.00
_cell_angle_beta 134.92
_cell_angle_gamma 90.00
loop_
_atom_site_label
_atom_site_type_symbol
_atom_site_fract_x
_atom_site_fract_y
_atom_site_fract_z
In1 In 0.000 0.000 0.000
In2 In 0.238 0.236 0.003
Te1 Te 0.274 0.000 0.235
I1 I 0.015 0.245 0.218
I2 I 0.201 0.000 0.758
I3 I 0.206 0.500 0.760
I4 I 0.269 0.500 0.216
I5 I 0.454 0.254 0.755
```

---

Entry 2:
Theoretical powder XRD pattern of Ti2In2I for a wavelength of 1.5418 Å, from a PBE-relaxed structure.
Lines closer than 0.1° are merged.

Main lines, in order of rising 2θ (10° ≤ 2θ ≤ 90°):
| 2θ (°) | intensity |
| --- | --- |
| 27.23 | 48 |
| 32.35 | 37 |
| 34.65 | 100 |
| 38.89 | 48 |
| 42.78 | 20 |
| 51.45 | 9 |
| 56.17 | 20 |
| 57.69 | 14 |
| 59.18 | 27 |
| 69.07 | 13 |
| 73.10 | 32 |
| 88.59 | 11 |

Structure:
```
data_Ti2In2I
_chemical_formula_sum 'Ti4 In4 I2'
_symmetry_space_group_name_H-M 'P 4/m b m'
_symmetry_Int_Tables_number 127
_symmetry_space_group_name_Hall '-P 4 2ab'
_cell_length_a 7.323
_cell_length_b 7.323
_cell_length_c 4.227
_cell_angle_alpha 90.00
_cell_angle_beta 90.00
_cell_angle_gamma 90.00
loop_
_atom_site_label
_atom_site_type_symbol
_atom_site_fract_x
_atom_site_fract_y
_atom_site_fract_z
Ti1 Ti 0.134 0.366 0.000
In1 In 0.157 0.657 0.500
I1 I 0.000 0.000 0.000
```

---

Entry 3:
Theoretical powder XRD pattern of TlInI3 for a wavelength of 1.5418 Å, from a PBE-relaxed structure.
Lines closer than 0.1° are merged.

Main lines, in order of rising 2θ (10° ≤ 2θ ≤ 90°):
| 2θ (°) | intensity |
| --- | --- |
| 14.23 | 32 |
| 14.66 | 30 |
| 23.55 | 60 |
| 24.02 | 26 |
| 25.38 | 85 |
| 25.52 | 34 |
| 25.95 | 70 |
| 27.71 | 100 |
| 30.49 | 39 |
| 35.62 | 48 |
| 37.75 | 45 |
| 39.89 | 26 |

Structure:
```
data_TlInI3
_chemical_formula_sum 'Tl4 In4 I12'
_symmetry_space_group_name_H-M 'P 1 21/c 1'
_symmetry_Int_Tables_number 14
_symmetry_space_group_name_Hall '-P 2ybc'
_cell_length_a 8.410
_cell_length_b 9.393
_cell_length_c 13.749
_cell_angle_alpha 90.00
_cell_angle_beta 118.51
_cell_angle_gamma 90.00
loop_
_atom_site_label
_atom_site_type_symbol
_atom_site_fract_x
_atom_site_fract_y
_atom_site_fract_z
Tl1 Tl 0.135 0.133 0.213
In1 In 0.282 0.712 0.129
I1 I 0.086 0.187 0.935
I2 I 0.252 0.671 0.911
I3 I 0.449 0.054 0.762
```

---

Entry 4:
Theoretical powder XRD pattern of TlInI3 for a wavelength of 1.5418 Å, from a PBE-relaxed structure.
Lines closer than 0.1° are merged.

Main lines, in order of rising 2θ (10° ≤ 2θ ≤ 90°):
| 2θ (°) | intensity |
| --- | --- |
| 16.39 | 36 |
| 17.13 | 63 |
| 19.72 | 41 |
| 25.15 | 61 |
| 26.09 | 100 |
| 26.27 | 81 |
| 30.04 | 37 |
| 30.19 | 47 |
| 31.79 | 40 |
| 32.10 | 52 |
| 34.79 | 65 |
| 39.80 | 35 |

Structure:
```
data_TlInI3
_chemical_formula_sum 'Tl2 In2 I6'
_symmetry_space_group_name_H-M 'P 1'
_symmetry_Int_Tables_number 1
_symmetry_space_group_name_Hall 'P 1'
_cell_length_a 5.170
_cell_length_b 9.065
_cell_length_c 11.194
_cell_angle_alpha 111.94
_cell_angle_beta 93.29
_cell_angle_gamma 90.50
loop_
_atom_site_label
_atom_site_type_symbol
_atom_site_fract_x
_atom_site_fract_y
_atom_site_fract_z
Tl1 Tl 0.000 0.000 0.000
Tl2 Tl 0.412 0.020 0.468
In1 In 0.200 0.480 0.809
In2 In 0.407 0.517 0.423
I1 I 0.452 0.219 0.827
I2 I 0.457 0.727 0.765
I3 I 0.516 0.126 0.209
I4 I 0.897 0.758 0.423
I5 I 0.924 0.339 0.567
I6 I 0.980 0.628 0.039
```

---

Entry 5:
Theoretical powder XRD pattern of Tl2In2I7 for a wavelength of 1.5418 Å, from a PBE-relaxed structure.
Lines closer than 0.1° are merged.

Main lines, in order of rising 2θ (10° ≤ 2θ ≤ 90°):
| 2θ (°) | intensity |
| --- | --- |
| 17.47 | 100 |
| 19.35 | 21 |
| 23.57 | 19 |
| 23.72 | 27 |
| 24.70 | 25 |
| 24.83 | 29 |
| 26.71 | 17 |
| 32.27 | 16 |
| 33.77 | 19 |
| 35.29 | 16 |
| 36.18 | 14 |
| 39.64 | 21 |

Structure:
```
data_Tl2In2I7
_chemical_formula_sum 'Tl4 In4 I14'
_symmetry_space_group_name_H-M 'P 1 21/c 1'
_symmetry_Int_Tables_number 14
_symmetry_space_group_name_Hall '-P 2ybc'
_cell_length_a 7.453
_cell_length_b 17.589
_cell_length_c 9.138
_cell_angle_alpha 90.00
_cell_angle_beta 98.98
_cell_angle_gamma 90.00
loop_
_atom_site_label
_atom_site_type_symbol
_atom_site_fract_x
_atom_site_fract_y
_atom_site_fract_z
Tl1 Tl 0.136 0.152 0.423
In1 In 0.329 0.616 0.660
I1 I 0.023 0.674 0.469
I2 I 0.202 0.553 0.912
I3 I 0.423 0.232 0.725
I4 I 0.500 0.000 0.000
```

---

Entry 6:
Theoretical powder XRD pattern of Tl3InI7 for a wavelength of 1.5418 Å, from a PBE-relaxed structure.
Lines closer than 0.1° are merged.

Main lines, in order of rising 2θ (10° ≤ 2θ ≤ 90°):
| 2θ (°) | intensity |
| --- | --- |
| 10.49 | 21 |
| 15.81 | 26 |
| 17.41 | 100 |
| 24.11 | 15 |
| 25.31 | 70 |
| 27.91 | 39 |
| 31.90 | 74 |
| 38.03 | 35 |
| 38.24 | 23 |
| 42.41 | 22 |
| 43.15 | 23 |
| 48.73 | 17 |

Structure:
```
data_Tl3InI7
_chemical_formula_sum 'Tl9 In3 I21'
_symmetry_space_group_name_H-M 'R 3 m'
_symmetry_Int_Tables_number 160
_symmetry_space_group_name_Hall 'R 3 -2"'
_cell_length_a 12.7876
_cell_length_b 12.7876
_cell_length_c 12.9997
_cell_angle_alpha 90.00
_cell_angle_beta 90.00
_cell_angle_gamma 120.00
loop_
_atom_site_label
_atom_site_type_symbol
_atom_site_fract_x
_atom_site_fract_y
_atom_site_fract_z
Tl1 Tl 0.1959 0.3918 0.0000
In1 In 0.0000 0.0000 0.7034
I1 I 0.0000 0.0000 0.4872
I2 I 0.0803 0.5401 0.8905
I3 I 0.0938 0.5469 0.4286
```

---

Entry 7:
Theoretical powder XRD pattern of TlIn5I6 for a wavelength of 1.5418 Å, from a PBE-relaxed structure.
Lines closer than 0.1° are merged.

Main lines, in order of rising 2θ (10° ≤ 2θ ≤ 90°):
| 2θ (°) | intensity |
| --- | --- |
| 25.34 | 100 |
| 36.13 | 66 |
| 36.19 | 13 |
| 44.55 | 7 |
| 44.68 | 21 |
| 52.03 | 14 |
| 58.68 | 19 |
| 58.79 | 19 |
| 64.86 | 7 |
| 65.03 | 21 |
| 82.29 | 7 |
| 82.38 | 7 |

Structure:
```
data_TlIn5I6
_chemical_formula_sum 'Tl2 In10 I12'
_symmetry_space_group_name_H-M 'C 1 2/m 1'
_symmetry_Int_Tables_number 12
_symmetry_space_group_name_Hall '-C 2y'
_cell_length_a 8.624
_cell_length_b 14.893
_cell_length_c 8.605
_cell_angle_alpha 90.00
_cell_angle_beta 109.40
_cell_angle_gamma 90.00
loop_
_atom_site_label
_atom_site_type_symbol
_atom_site_fract_x
_atom_site_fract_y
_atom_site_fract_z
Tl1 Tl 0.000 0.000 0.000
In1 In 0.000 0.165 0.500
In2 In 0.000 0.333 0.000
In3 In 0.000 0.500 0.500
I1 I 0.248 0.332 0.748
I2 I 0.248 0.500 0.250
```

---

Entry 8:
Theoretical powder XRD pattern of TlIn4I5 for a wavelength of 1.5418 Å, from a PBE-relaxed structure.
Lines closer than 0.1° are merged.

Main lines, in order of rising 2θ (10° ≤ 2θ ≤ 90°):
| 2θ (°) | intensity |
| --- | --- |
| 20.67 | 1 |
| 21.44 | 1 |
| 23.04 | 1 |
| 25.32 | 100 |
| 36.12 | 79 |
| 44.62 | 29 |
| 52.00 | 14 |
| 58.70 | 38 |
| 64.95 | 28 |
| 76.63 | 9 |
| 82.23 | 18 |
| 87.76 | 13 |

Structure:
```
data_TlIn4I5
_chemical_formula_sum 'Tl3 In12 I15'
_symmetry_space_group_name_H-M 'R -3 m'
_symmetry_Int_Tables_number 166
_symmetry_space_group_name_Hall '-R 3 2"'
_cell_length_a 4.9744
_cell_length_b 4.9744
_cell_length_c 60.9091
_cell_angle_alpha 90.00
_cell_angle_beta 90.00
_cell_angle_gamma 120.00
loop_
_atom_site_label
_atom_site_type_symbol
_atom_site_fract_x
_atom_site_fract_y
_atom_site_fract_z
Tl1 Tl 0.0000 0.0000 0.0000
In1 In 0.0000 0.0000 0.1998
In2 In 0.0000 0.0000 0.4005
I1 I 0.0000 0.0000 0.1003
I2 I 0.0000 0.0000 0.2993
I3 I 0.0000 0.0000 0.5000
```